NpCrCuO5: computed PXRD pattern (Cu Kα X-rays), based on the GGA+U geometry in Alexandria.

Atomic structure:
```
data_NpCrCuO5
_chemical_formula_sum 'Np2 Cr2 Cu2 O10'
_space_group_name_H-M_alt 'P 1'
_space_group_IT_number 1
_cell_length_a 5.6198
_cell_length_b 5.6198
_cell_length_c 7.5508
_cell_angle_alpha 102.45
_cell_angle_beta 102.45
_cell_angle_gamma 108.36
loop_
_space_group_symop_operation_xyz
'x,y,z'
loop_
_atom_site_label
_atom_site_type_symbol
_atom_site_fract_x
_atom_site_fract_y
_atom_site_fract_z
Np1 Np 0.0000 0.5000 0.0000
Np2 Np 0.5000 0.0000 0.5000
Cr1 Cr 0.0995 0.9005 0.7500
Cr2 Cr 0.9005 0.0995 0.2500
Cu1 Cu 0.4361 0.5639 0.7500
Cu2 Cu 0.5639 0.4361 0.2500
O1 O 0.1173 0.8827 0.2500
O2 O 0.1875 0.3455 0.1785
O3 O 0.2564 0.7090 0.5729
O4 O 0.2910 0.7436 0.9271
O5 O 0.3455 0.1875 0.6785
O6 O 0.6545 0.8125 0.3215
O7 O 0.7090 0.2564 0.0729
O8 O 0.7436 0.2910 0.4271
O9 O 0.8125 0.6545 0.8215
O10 O 0.8827 0.1173 0.7500
```

Principal peaks in the range 2θ from 10° to 90°, in order of rising 2θ:
Position (°2θ), I_rel
18.16, 676
19.48, 307
24.58, 1000
30.91, 377
32.19, 628
33.31, 476
35.35, 280
37.06, 212
42.55, 263
47.56, 273